# DyHo6Cd2
Simulated X-ray diffraction stick pattern, Cu Kα, 1.54184 Å. Input: DFT lattice parameters and positions (PBE).

Principal peaks in the range 2θ = 10–90°, by intensity:
2θ/deg, intensity
33.15, 100
33.04, 97
31.96, 57
32.20, 48
59.69, 19
48.98, 18

Structural model:
Lattice parameters (Å, degrees): 6.540 6.540 11.800 107.90 107.90 33.04
Fractional positions:
Dy 0.000 0.000 0.000
Ho 0.015 0.015 0.340
Ho 0.313 0.313 0.417
Ho 0.315 0.315 0.123
Ho 0.685 0.685 0.877
Ho 0.687 0.687 0.583
Ho 0.985 0.985 0.660
Cd 0.353 0.353 0.791
Cd 0.647 0.647 0.209

---

# Dy2Ho3Cd3
Simulated X-ray diffraction stick pattern, Cu Kα, 1.54184 Å. Input: DFT lattice parameters and positions (PBE).

Principal peaks in the range 2θ = 10–90°, by intensity:
2θ/deg, intensity
33.57, 100
33.72, 26
32.38, 23
60.22, 20
47.44, 16
58.52, 12

Structural model:
Lattice parameters (Å, degrees): 11.526 11.526 11.526 161.43 153.33 32.70
Fractional positions:
Dy 0.233 0.233 0.000
Dy 0.767 0.767 0.000
Ho 0.000 0.000 0.000
Ho 0.377 0.877 0.500
Ho 0.623 0.123 0.500
Cd 0.117 0.617 0.500
Cd 0.500 0.500 0.000
Cd 0.883 0.383 0.500

---

# Dy3Ho2Cd
Simulated X-ray diffraction stick pattern, Cu Kα, 1.54184 Å. Input: DFT lattice parameters and positions (PBE).

Principal peaks in the range 2θ = 10–90°, by intensity:
2θ/deg, intensity
31.58, 100
35.80, 38
61.70, 30
53.37, 19
51.52, 13
38.22, 12

Structural model:
Lattice parameters (Å, degrees): 3.547 3.547 14.128 90.00 90.00 90.00
Fractional positions:
Dy 0.000 0.000 0.000
Dy 0.000 0.000 0.352
Dy 0.000 0.000 0.648
Ho 0.500 0.500 0.176
Ho 0.500 0.500 0.824
Cd 0.500 0.500 0.500

---

# Dy4HoCd3
Simulated X-ray diffraction stick pattern, Cu Kα, 1.54184 Å. Input: DFT lattice parameters and positions (PBE).

Principal peaks in the range 2θ = 10–90°, by intensity:
2θ/deg, intensity
33.64, 100
32.96, 92
59.73, 33
47.81, 32
60.15, 19
80.26, 14

Structural model:
Lattice parameters (Å, degrees): 9.479 9.479 9.479 32.65 32.65 32.65
Fractional positions:
Dy 0.115 0.115 0.115
Dy 0.370 0.370 0.370
Dy 0.630 0.630 0.630
Dy 0.885 0.885 0.885
Ho 0.500 0.500 0.500
Cd 0.000 0.000 0.000
Cd 0.240 0.240 0.240
Cd 0.760 0.760 0.760

---

# DyHo2Cd3
Simulated X-ray diffraction stick pattern, Cu Kα, 1.54184 Å. Input: DFT lattice parameters and positions (PBE).

Principal peaks in the range 2θ = 10–90°, by intensity:
2θ/deg, intensity
33.97, 100
60.82, 27
48.80, 18
60.66, 9
81.49, 8
81.62, 8

Structural model:
Lattice parameters (Å, degrees): 5.273 5.273 6.479 90.00 90.00 120.00
Fractional positions:
Dy 0.000 0.000 0.000
Ho 0.333 0.667 0.665
Ho 0.667 0.333 0.335
Cd 0.000 0.000 0.500
Cd 0.333 0.667 0.166
Cd 0.667 0.333 0.834

---

# Dy3Ho5Cd
Simulated X-ray diffraction stick pattern, Cu Kα, 1.54184 Å. Input: DFT lattice parameters and positions (PBE).

Principal peaks in the range 2θ = 10–90°, by intensity:
2θ/deg, intensity
31.67, 100
31.81, 73
32.69, 55
15.75, 40
39.07, 39
35.60, 33

Structural model:
Lattice parameters (Å, degrees): 8.189 8.189 10.018 103.33 103.33 86.80
Fractional positions:
Dy 0.000 0.000 0.000
Dy 0.002 0.002 0.673
Dy 0.495 0.495 0.817
Dy 0.500 0.500 0.500
Dy 0.505 0.505 0.183
Dy 0.998 0.998 0.327
Ho 0.073 0.555 0.212
Ho 0.248 0.248 0.590
Ho 0.261 0.261 0.946
Ho 0.263 0.737 0.000
Ho 0.445 0.927 0.788
Ho 0.555 0.073 0.212
Ho 0.737 0.263 0.000
Ho 0.739 0.739 0.054
Ho 0.752 0.752 0.410
Ho 0.927 0.445 0.788
Cd 0.235 0.235 0.266
Cd 0.765 0.765 0.734

---

# Dy2HoCd2In2
Simulated X-ray diffraction stick pattern, Cu Kα, 1.54184 Å. Input: DFT lattice parameters and positions (PBE).

Principal peaks in the range 2θ = 10–90°, by intensity:
2θ/deg, intensity
36.42, 100
34.07, 89
31.43, 46
50.73, 28
64.05, 28
64.53, 28

Structural model:
Lattice parameters (Å, degrees): 9.351 9.351 9.351 30.59 30.59 30.59
Fractional positions:
Dy 0.128 0.128 0.128
Dy 0.872 0.872 0.872
Ho 0.000 0.000 0.000
Cd 0.395 0.395 0.395
Cd 0.605 0.605 0.605
In 0.259 0.259 0.259
In 0.741 0.741 0.741

---

# DyHoCdPd
Simulated X-ray diffraction stick pattern, Cu Kα, 1.54184 Å. Input: DFT lattice parameters and positions (PBE).

Principal peaks in the range 2θ = 10–90°, by intensity:
2θ/deg, intensity
34.95, 100
35.35, 51
63.21, 35
50.86, 18
62.43, 16
73.83, 9

Structural model:
Lattice parameters (Å, degrees): 3.590 3.590 7.343 90.00 90.00 90.00
Fractional positions:
Dy 0.000 0.000 0.000
Ho 0.000 0.000 0.546
Cd 0.500 0.500 0.275
Pd 0.500 0.500 0.770

---

# Dy2Cd6In5
Simulated X-ray diffraction stick pattern, Cu Kα, 1.54184 Å. Input: DFT lattice parameters and positions (PBE).

Principal peaks in the range 2θ = 10–90°, by intensity:
2θ/deg, intensity
34.88, 100
12.34, 91
19.93, 51
31.33, 40
37.13, 37
42.74, 37

Structural model:
Lattice parameters (Å, degrees): 8.825 8.825 8.825 60.64 60.64 60.64
Fractional positions:
Dy 0.140 0.140 0.140
Dy 0.860 0.860 0.860
Cd 0.177 0.500 0.823
Cd 0.177 0.823 0.500
Cd 0.500 0.177 0.823
Cd 0.500 0.823 0.177
Cd 0.823 0.177 0.500
Cd 0.823 0.500 0.177
In 0.000 0.000 0.000
In 0.281 0.281 0.281
In 0.424 0.424 0.424
In 0.576 0.576 0.576
In 0.719 0.719 0.719

---

# Dy2Cd3In2
Simulated X-ray diffraction stick pattern, Cu Kα, 1.54184 Å. Input: DFT lattice parameters and positions (PBE).

Principal peaks in the range 2θ = 10–90°, by intensity:
2θ/deg, intensity
34.42, 100
32.62, 97
38.50, 47
35.86, 42
65.08, 30
53.63, 26

Structural model:
Lattice parameters (Å, degrees): 11.230 11.230 3.432 90.00 90.00 155.97
Fractional positions:
Dy 0.151 0.849 0.000
Dy 0.849 0.151 0.000
Cd 0.000 0.000 0.000
Cd 0.431 0.569 0.500
Cd 0.569 0.431 0.500
In 0.289 0.711 0.500
In 0.711 0.289 0.500

---

# Dy4CdIn
Simulated X-ray diffraction stick pattern, Cu Kα, 1.54184 Å. Input: DFT lattice parameters and positions (PBE).

Principal peaks in the range 2θ = 10–90°, by intensity:
2θ/deg, intensity
31.92, 100
32.22, 98
36.02, 74
54.49, 40
62.01, 29
62.56, 29

Structural model:
Lattice parameters (Å, degrees): 7.290 7.290 7.105 104.12 104.12 27.78
Fractional positions:
Dy 0.157 0.157 0.329
Dy 0.157 0.157 0.829
Dy 0.843 0.843 0.171
Dy 0.843 0.843 0.671
Cd 0.500 0.500 0.000
In 0.500 0.500 0.500

---

# DyMg2Cd2In2
Simulated X-ray diffraction stick pattern, Cu Kα, 1.54184 Å. Input: DFT lattice parameters and positions (PBE).

Principal peaks in the range 2θ = 10–90°, by intensity:
2θ/deg, intensity
37.15, 100
35.26, 88
10.36, 69
27.49, 67
52.15, 28
65.75, 28

Structural model:
Lattice parameters (Å, degrees): 8.987 8.987 8.987 31.25 31.25 31.25
Fractional positions:
Dy 0.000 0.000 0.000
Mg 0.133 0.133 0.133
Mg 0.867 0.867 0.867
Cd 0.249 0.249 0.249
Cd 0.751 0.751 0.751
In 0.392 0.392 0.392
In 0.608 0.608 0.608